For VW, a cell relaxed with GGA-PBE gives the calculated powder diffractogram in this record (Cu Kα).
Peak positions follow from Bragg's law for the DFT cell and can differ from measured ones.

Most intense lines, 2θ from 10° to 80°, sorted by position:
- d 3.574, 24.91 deg, I 39.1
- d 2.189, 41.25 deg, I 100.0
- d 1.866, 48.79 deg, I 20.7
- d 1.548, 59.76 deg, I 16.6
- d 1.420, 65.76 deg, I 8.9
- d 1.264, 75.20 deg, I 33.4

Crystal structure
```
data_VW
_space_group_name_H-M_alt 'P 1'
_space_group_IT_number 1
_cell_length_a 4.3771
_cell_length_b 4.3771
_cell_length_c 4.3771
_cell_angle_alpha 60.00
_cell_angle_beta 60.00
_cell_angle_gamma 60.00
loop_
_space_group_symop_operation_xyz
'x,y,z'
loop_
_atom_site_label
_atom_site_type_symbol
_atom_site_fract_x
_atom_site_fract_y
_atom_site_fract_z
_atom_site_occupancy
V1 V 0.1250 0.1250 0.1250 1
V2 V 0.8750 0.8750 0.8750 1
W1 W 0.3750 0.3750 0.3750 1
W2 W 0.6250 0.6250 0.6250 1
```

***

For V5W4, a cell relaxed with GGA-PBE gives the calculated powder diffractogram in this record (Cu Kα).
Peak positions follow from Bragg's law for the DFT cell and can differ from measured ones.

Most intense lines, 2θ from 10° to 80°, sorted by position:
- d 6.529, 13.56 deg, I 16.7
- d 4.617, 19.22 deg, I 30.9
- d 2.930, 30.51 deg, I 22.2
- d 2.920, 30.62 deg, I 22.0
- d 2.181, 41.39 deg, I 100.0
- d 2.177, 41.48 deg, I 99.4
- d 1.972, 46.03 deg, I 14.1
- d 1.539, 60.12 deg, I 21.8
- d 1.258, 75.56 deg, I 33.0
- d 1.257, 75.68 deg, I 21.9

Crystal structure
```
data_V5W4
_space_group_name_H-M_alt 'P 1'
_space_group_IT_number 1
_cell_length_a 6.7071
_cell_length_b 6.7071
_cell_length_c 3.0898
_cell_angle_alpha 103.22
_cell_angle_beta 103.22
_cell_angle_gamma 86.98
loop_
_space_group_symop_operation_xyz
'x,y,z'
loop_
_atom_site_label
_atom_site_type_symbol
_atom_site_fract_x
_atom_site_fract_y
_atom_site_fract_z
_atom_site_occupancy
V1 V 0.0000 0.0000 0.0000 1
V2 V 0.3364 0.3364 0.3363 1
V3 V 0.3365 0.6635 0.0000 1
V4 V 0.6635 0.3365 0.0000 1
V5 V 0.6636 0.6636 0.6637 1
W1 W 0.0000 0.3327 0.6663 1
W2 W 0.0000 0.6673 0.3337 1
W3 W 0.3327 0.0000 0.6663 1
W4 W 0.6673 0.0000 0.3337 1
```

***

For V3W13, a cell relaxed with GGA-PBE gives the calculated powder diffractogram in this record (Cu Kα).
Peak positions follow from Bragg's law for the DFT cell and can differ from measured ones.

Most intense lines, 2θ from 10° to 80°, sorted by position:
- d 6.305, 14.05 deg, I 6.2
- d 4.456, 19.93 deg, I 4.4
- d 2.821, 31.72 deg, I 5.4
- d 2.576, 34.82 deg, I 2.3
- d 2.231, 40.43 deg, I 100.0
- d 2.226, 40.52 deg, I 19.9
- d 2.103, 43.02 deg, I 2.5
- d 1.577, 58.53 deg, I 20.4
- d 1.288, 73.51 deg, I 27.7
- d 1.286, 73.65 deg, I 13.7

Crystal structure
```
data_V3W13
_space_group_name_H-M_alt 'P 1'
_space_group_IT_number 1
_cell_length_a 6.3142
_cell_length_b 6.3046
_cell_length_c 6.3046
_cell_angle_alpha 89.86
_cell_angle_beta 90.00
_cell_angle_gamma 90.00
loop_
_space_group_symop_operation_xyz
'x,y,z'
loop_
_atom_site_label
_atom_site_type_symbol
_atom_site_fract_x
_atom_site_fract_y
_atom_site_fract_z
_atom_site_occupancy
V1 V 0.0000 0.0000 0.0000 1
V2 V 0.2492 0.2478 0.2478 1
V3 V 0.7508 0.2478 0.2478 1
W1 W 0.0000 0.0015 0.4953 1
W2 W 0.0000 0.4953 0.0015 1
W3 W 0.0000 0.4957 0.4957 1
W4 W 0.2485 0.2469 0.7502 1
W5 W 0.2485 0.7502 0.2469 1
W6 W 0.2488 0.7496 0.7496 1
W7 W 0.5000 0.0014 0.0014 1
W8 W 0.5000 0.0019 0.4956 1
W9 W 0.5000 0.4956 0.0019 1
W10 W 0.5000 0.4966 0.4966 1
W11 W 0.7515 0.2469 0.7502 1
W12 W 0.7515 0.7502 0.2469 1
W13 W 0.7512 0.7496 0.7496 1
```

***

For V2W13, a cell relaxed with GGA-PBE gives the calculated powder diffractogram in this record (Cu Kα).
Peak positions follow from Bragg's law for the DFT cell and can differ from measured ones.

Most intense lines, 2θ from 10° to 80°, sorted by position:
- d 2.491, 36.06 deg, I 24.7
- d 2.383, 37.76 deg, I 29.4
- d 2.356, 38.20 deg, I 48.0
- d 2.273, 39.65 deg, I 100.0
- d 2.240, 40.27 deg, I 40.4
- d 2.230, 40.45 deg, I 56.1
- d 2.200, 41.02 deg, I 48.1
- d 2.172, 41.58 deg, I 21.9
- d 2.088, 43.34 deg, I 23.8
- d 1.958, 46.38 deg, I 23.5

Crystal structure
```
data_V2W13
_space_group_name_H-M_alt 'P 1'
_space_group_IT_number 1
_cell_length_a 5.7161
_cell_length_b 7.0057
_cell_length_c 7.1510
_cell_angle_alpha 61.95
_cell_angle_beta 89.30
_cell_angle_gamma 83.09
loop_
_space_group_symop_operation_xyz
'x,y,z'
loop_
_atom_site_label
_atom_site_type_symbol
_atom_site_fract_x
_atom_site_fract_y
_atom_site_fract_z
_atom_site_occupancy
V1 V 0.2202 0.0564 0.1786 1
V2 V 0.7798 0.9436 0.8214 1
W1 W 0.0793 0.6309 0.8222 1
W2 W 0.0991 0.1351 0.5551 1
W3 W 0.1441 0.6237 0.2843 1
W4 W 0.3428 0.9088 0.9076 1
W5 W 0.3721 0.3564 0.7095 1
W6 W 0.4468 0.7943 0.5586 1
W7 W 0.5000 0.5000 0.0000 1
W8 W 0.5532 0.2057 0.4414 1
W9 W 0.6279 0.6436 0.2905 1
W10 W 0.6572 0.0912 0.0924 1
W11 W 0.8559 0.3763 0.7157 1
W12 W 0.9009 0.8649 0.4449 1
W13 W 0.9207 0.3691 0.1778 1
```

***

For V4W, a cell relaxed with GGA-PBE gives the calculated powder diffractogram in this record (Cu Kα).
Peak positions follow from Bragg's law for the DFT cell and can differ from measured ones.

Most intense lines, 2θ from 10° to 80°, sorted by position:
- d 4.377, 20.29 deg, I 17.4
- d 3.596, 24.76 deg, I 11.7
- d 3.576, 24.90 deg, I 23.3
- d 3.239, 27.54 deg, I 28.2
- d 2.151, 42.01 deg, I 100.0
- d 2.144, 42.16 deg, I 49.5
- d 1.516, 61.14 deg, I 15.6
- d 1.244, 76.61 deg, I 11.8
- d 1.240, 76.86 deg, I 11.7
- d 1.239, 76.93 deg, I 15.5

Crystal structure
```
data_V4W
_space_group_name_H-M_alt 'P 1'
_space_group_IT_number 1
_cell_length_a 4.3055
_cell_length_b 4.3055
_cell_length_c 5.0481
_cell_angle_alpha 115.59
_cell_angle_beta 115.59
_cell_angle_gamma 59.77
loop_
_space_group_symop_operation_xyz
'x,y,z'
loop_
_atom_site_label
_atom_site_type_symbol
_atom_site_fract_x
_atom_site_fract_y
_atom_site_fract_z
_atom_site_occupancy
V1 V 0.0989 0.0989 0.2967 1
V2 V 0.3020 0.3020 0.9054 1
V3 V 0.6980 0.6980 0.0946 1
V4 V 0.9011 0.9011 0.7033 1
W1 W 0.5000 0.5000 0.5000 1
```

***

For V4W5, a cell relaxed with GGA-PBE gives the calculated powder diffractogram in this record (Cu Kα).
Peak positions follow from Bragg's law for the DFT cell and can differ from measured ones.

Most intense lines, 2θ from 10° to 80°, sorted by position:
- d 6.572, 13.47 deg, I 5.3
- d 4.647, 19.10 deg, I 11.3
- d 2.949, 30.31 deg, I 8.9
- d 2.939, 30.42 deg, I 8.7
- d 2.193, 41.16 deg, I 100.0
- d 1.595, 57.80 deg, I 5.9
- d 1.555, 59.45 deg, I 5.6
- d 1.549, 59.70 deg, I 11.0
- d 1.268, 74.90 deg, I 11.3
- d 1.265, 75.06 deg, I 22.3

Crystal structure
```
data_V4W5
_space_group_name_H-M_alt 'P 1'
_space_group_IT_number 1
_cell_length_a 6.7529
_cell_length_b 6.7529
_cell_length_c 6.7529
_cell_angle_alpha 93.04
_cell_angle_beta 93.04
_cell_angle_gamma 153.38
loop_
_space_group_symop_operation_xyz
'x,y,z'
loop_
_atom_site_label
_atom_site_type_symbol
_atom_site_fract_x
_atom_site_fract_y
_atom_site_fract_z
_atom_site_occupancy
V1 V 0.1664 0.1664 0.3328 1
V2 V 0.1664 0.8336 0.0000 1
V3 V 0.8336 0.1664 0.0000 1
V4 V 0.8336 0.8336 0.6672 1
W1 W 0.1703 0.5000 0.6703 1
W2 W 0.5000 0.1703 0.6703 1
W3 W 0.5000 0.5000 0.0000 1
W4 W 0.5000 0.8297 0.3297 1
W5 W 0.8297 0.5000 0.3297 1
```

***

For V7W, a cell relaxed with GGA-PBE gives the calculated powder diffractogram in this record (Cu Kα).
Peak positions follow from Bragg's law for the DFT cell and can differ from measured ones.

Most intense lines, 2θ from 10° to 80°, sorted by position:
- d 6.049, 14.64 deg, I 36.0
- d 4.266, 20.82 deg, I 36.6
- d 2.711, 33.04 deg, I 14.1
- d 2.699, 33.19 deg, I 12.0
- d 2.144, 42.14 deg, I 100.0
- d 2.133, 42.38 deg, I 98.5
- d 1.512, 61.30 deg, I 30.8
- d 1.240, 76.87 deg, I 15.2
- d 1.234, 77.35 deg, I 30.0
- d 1.231, 77.51 deg, I 14.9

Crystal structure
```
data_V7W
_space_group_name_H-M_alt 'P 1'
_space_group_IT_number 1
_cell_length_a 6.0490
_cell_length_b 6.0490
_cell_length_c 6.0490
_cell_angle_alpha 89.70
_cell_angle_beta 89.70
_cell_angle_gamma 89.70
loop_
_space_group_symop_operation_xyz
'x,y,z'
loop_
_atom_site_label
_atom_site_type_symbol
_atom_site_fract_x
_atom_site_fract_y
_atom_site_fract_z
_atom_site_occupancy
V1 V 0.1228 0.1228 0.1228 1
V2 V 0.1234 0.1234 0.6262 1
V3 V 0.1234 0.6262 0.1234 1
V4 V 0.1240 0.6268 0.6268 1
V5 V 0.3732 0.3732 0.8760 1
V6 V 0.3732 0.8760 0.3732 1
V7 V 0.3738 0.8766 0.8766 1
V8 V 0.6262 0.1234 0.1234 1
V9 V 0.6268 0.1240 0.6268 1
V10 V 0.6268 0.6268 0.1240 1
V11 V 0.8760 0.3732 0.3732 1
V12 V 0.8766 0.3738 0.8766 1
V13 V 0.8766 0.8766 0.3738 1
V14 V 0.8772 0.8772 0.8772 1
W1 W 0.3728 0.3728 0.3728 1
W2 W 0.6272 0.6272 0.6272 1
```

***

For ZrV3W, a cell relaxed with GGA-PBE gives the calculated powder diffractogram in this record (Cu Kα).
Peak positions follow from Bragg's law for the DFT cell and can differ from measured ones.

Most intense lines, 2θ from 10° to 80°, sorted by position:
- d 4.594, 19.32 deg, I 44.3
- d 3.249, 27.45 deg, I 100.0
- d 2.297, 39.22 deg, I 69.7
- d 2.055, 44.07 deg, I 21.4
- d 1.876, 48.54 deg, I 43.1
- d 1.624, 56.67 deg, I 45.9
- d 1.531, 60.45 deg, I 10.5
- d 1.453, 64.09 deg, I 19.0
- d 1.326, 71.08 deg, I 15.1
- d 1.228, 77.78 deg, I 22.0

Crystal structure
```
data_ZrV3W
_space_group_name_H-M_alt 'P 1'
_space_group_IT_number 1
_cell_length_a 4.5944
_cell_length_b 4.5944
_cell_length_c 4.5944
_cell_angle_alpha 90.00
_cell_angle_beta 90.00
_cell_angle_gamma 90.00
loop_
_space_group_symop_operation_xyz
'x,y,z'
loop_
_atom_site_label
_atom_site_type_symbol
_atom_site_fract_x
_atom_site_fract_y
_atom_site_fract_z
_atom_site_occupancy
Zr1 Zr 0.0000 0.0000 0.0000 1
V1 V 0.0000 0.5000 0.5000 1
V2 V 0.5000 0.0000 0.5000 1
V3 V 0.5000 0.5000 0.0000 1
W1 W 0.5000 0.5000 0.5000 1
```